For LiHo3, the GGA-PBE geometry in the Materials Project gives the computed powder XRD pattern in this record (Cu Ka).
No peak broadening, texture or thermal motion is included.

```
LiHo3
1.0
4.861 0.000 0.000
0.000 4.861 0.000
0.000 0.000 4.861
Li Ho
1 3
Direct
0.000 0.000 0.000
0.000 0.500 0.500
0.500 0.000 0.500
0.500 0.500 0.000
```

Main lines, sorted by position (2θ from 10° to 90°):
2θ (°), d_spacing, intensity
18.25, 4.861, 30
25.92, 3.437, 26
31.89, 2.807, 100
36.99, 2.431, 50
41.54, 2.174, 15
45.72, 1.985, 11
53.30, 1.719, 36
63.47, 1.466, 42
66.65, 1.403, 12
87.46, 1.115, 18

For LiHo3, the GGA-PBE geometry in the Materials Project gives the computed powder XRD pattern in this record (Cu Ka).
No peak broadening, texture or thermal motion is included.

```
LiHo3
1.0
4.774 0.000 0.000
0.000 4.774 0.000
0.000 0.000 10.153
Li Ho
2 6
Direct
0.000 0.000 0.000
0.500 0.500 0.500
0.000 0.000 0.500
0.000 0.500 0.250
0.000 0.500 0.750
0.500 0.000 0.250
0.500 0.000 0.750
0.500 0.500 0.000
```

Main lines, sorted by position (2θ from 10° to 90°):
2θ (°), d_spacing, intensity
20.56, 4.320, 30
31.83, 2.811, 100
35.36, 2.538, 19
37.68, 2.387, 32
52.63, 1.739, 24
54.35, 1.688, 11
61.28, 1.513, 15
64.38, 1.447, 27
66.53, 1.406, 12
86.36, 1.127, 12

For LiHoP4O12, the GGA-PBE geometry in the Materials Project gives the computed powder XRD pattern in this record (Cu Ka).
No peak broadening, texture or thermal motion is included.

```
LiHoP4O12
1.0
8.203 -3.559 0.000
8.203 3.559 0.000
-5.672 0.000 7.809
Li Ho P O
2 2 8 24
Direct
0.206 0.794 0.750
0.794 0.206 0.250
0.297 0.703 0.250
0.703 0.297 0.750
0.086 0.188 0.616
0.188 0.086 0.116
0.205 0.504 0.806
0.496 0.795 0.694
0.504 0.205 0.306
0.795 0.496 0.194
0.812 0.914 0.884
0.914 0.812 0.384
0.029 0.283 0.234
0.063 0.069 0.428
0.069 0.063 0.928
0.101 0.676 0.316
0.167 0.324 0.651
0.257 0.491 0.977
0.283 0.029 0.734
0.324 0.167 0.151
0.324 0.899 0.184
0.347 0.511 0.774
0.489 0.653 0.726
0.491 0.257 0.477
0.509 0.743 0.523
0.511 0.347 0.274
0.653 0.489 0.226
0.676 0.101 0.816
0.676 0.833 0.849
0.717 0.971 0.266
0.743 0.509 0.023
0.833 0.676 0.349
0.899 0.324 0.684
0.931 0.937 0.072
0.937 0.931 0.572
0.971 0.717 0.766
```

Main lines, sorted by position (2θ from 10° to 90°):
2θ (°), d_spacing, intensity
13.34, 6.637, 48
15.47, 5.728, 51
20.48, 4.336, 100
22.78, 3.904, 69
23.25, 3.826, 21
27.55, 3.238, 33
30.49, 2.932, 23
31.17, 2.869, 40
32.75, 2.734, 48
34.09, 2.630, 18